Structure and computed X-ray diffraction stick pattern of TlAu3Cl9 (DFT lattice parameters and positions (GGA-PBE); copper Kα).

Cell and atoms:
abc: 18.280 7.047 15.481
angles: 90.00 121.81 90.00
Space group Cc (No. 9)
Inequivalent atoms, fractional coordinates:
Tl 0.000 0.168 0.000
Au 0.093 0.450 0.754
Au 0.253 0.007 0.240
Au 0.415 0.484 0.197
Cl 0.004 0.271 0.213
Cl 0.074 0.378 0.888
Cl 0.121 0.462 0.129
Cl 0.150 0.074 0.573
Cl 0.181 0.153 0.811
Cl 0.326 0.172 0.175
Cl 0.355 0.082 0.409
Cl 0.407 0.409 0.834
Cl 0.421 0.380 0.060

Principal peaks in the range 2θ = 10–80°, sorted by position:
2theta, Rel. int.
13.5, 44
19.8, 67
21.3, 100
27.1, 20
28.7, 32
29.8, 29
32.5, 18
40.2, 21